Nd2PuBi3: calculated powder X-ray diffraction pattern (Cu Ka), based on a structure optimized by DFT (PBE).
Peak positions follow from Bragg's law for the DFT cell and can differ from measured ones.

Cell and atoms:
Cell lengths 15.203, 14.495, 7.945 Å; angles 79.47, 69.62, 30.92 degrees
Sites, in units of the cell vectors:
Nd: 0.042 0.042 0.208
Nd: 0.124 0.124 0.626
Nd: 0.208 0.208 0.042
Nd: 0.374 0.374 0.876
Nd: 0.626 0.626 0.124
Nd: 0.792 0.792 0.958
Nd: 0.876 0.876 0.374
Nd: 0.958 0.958 0.792
Pu: 0.292 0.292 0.458
Pu: 0.458 0.458 0.292
Pu: 0.542 0.542 0.708
Pu: 0.708 0.708 0.542
Bi: 0.041 0.541 0.214
Bi: 0.130 0.620 0.620
Bi: 0.214 0.704 0.041
Bi: 0.296 0.786 0.459
Bi: 0.380 0.870 0.870
Bi: 0.459 0.959 0.296
Bi: 0.541 0.041 0.704
Bi: 0.620 0.130 0.130
Bi: 0.704 0.214 0.541
Bi: 0.786 0.296 0.959
Bi: 0.870 0.380 0.380
Bi: 0.959 0.459 0.786

Peak list (10 most intense, 15° ≤ 2θ ≤ 90°, by intensity)
Position (°2θ)	intensity
27.51	100
39.29	79
64.22	38
48.63	29
71.23	28
56.78	14
84.49	8
84.57	2
23.76	1
46.44	1

***

Mn3Tc5: calculated powder X-ray diffraction pattern (Cu Ka), based on a structure optimized by DFT (PBE).
Peak positions follow from Bragg's law for the DFT cell and can differ from measured ones.

Cell and atoms:
Cell lengths 7.491, 7.604, 3.795 Å; angles 90.00, 90.00, 90.00 degrees
Sites, in units of the cell vectors:
Mn: 0.000 0.000 0.000
Mn: 0.000 0.250 0.500
Mn: 0.000 0.750 0.500
Mn: 0.500 0.250 0.500
Mn: 0.500 0.500 0.000
Mn: 0.500 0.750 0.500
Tc: 0.000 0.500 0.000
Tc: 0.241 0.000 0.500
Tc: 0.250 0.250 0.000
Tc: 0.250 0.750 0.000
Tc: 0.259 0.500 0.500
Tc: 0.500 0.000 0.000
Tc: 0.741 0.500 0.500
Tc: 0.750 0.250 0.000
Tc: 0.750 0.750 0.000
Tc: 0.759 0.000 0.500

Peak list (10 most intense, 15° ≤ 2θ ≤ 90°, by intensity)
Position (°2θ)	intensity
41.36	100
47.90	32
70.63	19
48.61	15
84.68	12
84.82	12
85.83	11
89.88	10
70.06	10
23.75	4